For HoGa6Fe6, the GGA-PBE geometry in Alexandria gives the simulated X-ray powder pattern in this record (a wavelength of 1.5418 Å).
Kinematic intensities with the Lorentz-polarization factor, no thermal factor.

Peak list (10 most intense, 2θ from 10° to 90°, low angle first)
2θ/deg  I (rel.)
33.2  18
34.6  24
35.9  80
40.7  100
41.6  72
42.0  51
42.2  58
46.2  22
62.9  20
76.1  30

a b c (Å): 8.572 6.629 6.554
angles (deg): 81.11 49.82 49.07
Sites, in units of the cell vectors:
Ho1 0.000 0.000 0.000
Ga1 0.000 0.000 0.500
Ga2 0.017 0.351 0.649
Ga3 0.351 0.017 0.983
Ga4 0.500 0.500 0.000
Ga5 0.649 0.983 0.017
Ga6 0.983 0.649 0.351
Fe1 0.000 0.500 0.000
Fe2 0.291 0.494 0.506
Fe3 0.494 0.291 0.709
Fe4 0.500 0.000 0.500
Fe5 0.506 0.709 0.291
Fe6 0.709 0.506 0.494

=====

For K2NaIBr4, the GGA-PBE geometry in Alexandria gives the simulated X-ray powder pattern in this record (a wavelength of 1.5418 Å).
Kinematic intensities with the Lorentz-polarization factor, no thermal factor.

Peak list (10 most intense, 2θ from 10° to 90°, low angle first)
2θ/deg  I (rel.)
20.2  24
23.6  59
27.9  100
28.2  10
28.3  10
36.8  49
37.0  23
39.8  35
46.7  14
46.9  18

a b c (Å): 9.057 9.057 9.853
angles (deg): 116.99 116.99 90.16
Sites, in units of the cell vectors:
K1 0.000 0.000 0.000
K2 0.000 0.000 0.500
K3 0.000 0.500 0.000
K4 0.500 0.000 0.500
Na1 0.000 0.500 0.500
Na2 0.500 0.000 0.000
I1 0.500 0.500 0.000
I2 0.500 0.500 0.500
Br1 0.199 0.238 0.433
Br2 0.210 0.709 0.452
Br3 0.238 0.199 0.933
Br4 0.291 0.790 0.048
Br5 0.709 0.210 0.952
Br6 0.762 0.801 0.067
Br7 0.790 0.291 0.548
Br8 0.801 0.762 0.567

=====

For NaPb6, the GGA-PBE geometry in Alexandria gives the simulated X-ray powder pattern in this record (a wavelength of 1.5418 Å).
Kinematic intensities with the Lorentz-polarization factor, no thermal factor.

Peak list (10 most intense, 2θ from 10° to 90°, low angle first)
2θ/deg  I (rel.)
19.9  33
22.3  13
31.8  57
33.3  100
37.8  14
45.5  22
57.6  43
60.6  22
70.0  14
75.4  12

a b c (Å): 5.636 5.636 7.280
angles (deg): 90.00 90.00 90.00
Sites, in units of the cell vectors:
Na1 0.000 0.000 0.000
Pb1 0.000 0.000 0.500
Pb2 0.000 0.500 0.258
Pb3 0.000 0.500 0.742
Pb4 0.500 0.000 0.258
Pb5 0.500 0.000 0.742
Pb6 0.500 0.500 0.000

=====

For Pu2Bi2PbO2, the GGA-PBE geometry in Alexandria gives the simulated X-ray powder pattern in this record (a wavelength of 1.5418 Å).
Kinematic intensities with the Lorentz-polarization factor, no thermal factor.

Peak list (10 most intense, 2θ from 10° to 90°, low angle first)
2θ/deg  I (rel.)
27.5  25
28.2  100
29.6  52
30.0  61
32.9  31
36.6  97
48.7  50
58.0  49
62.4  48
82.9  33

a b c (Å): 3.740 3.740 15.077
angles (deg): 90.00 90.00 120.00
Sites, in units of the cell vectors:
Pu1 0.333 0.667 0.101
Pu2 0.667 0.333 0.899
Bi1 0.000 0.000 0.279
Bi2 0.000 0.000 0.721
Pb1 0.000 0.000 0.500
O1 0.333 0.667 0.941
O2 0.667 0.333 0.059

=====

For Fe2Ni3Ir3, the GGA-PBE geometry in Alexandria gives the simulated X-ray powder pattern in this record (a wavelength of 1.5418 Å).
Kinematic intensities with the Lorentz-polarization factor, no thermal factor.

Peak list (10 most intense, 2θ from 10° to 90°, low angle first)
2θ/deg  I (rel.)
25.9  69
38.3  20
41.9  35
44.2  100
45.7  53
46.9  20
65.5  15
70.0  13
73.7  12
80.4  13

a b c (Å): 4.715 4.715 4.715
angles (deg): 93.54 93.54 93.54
Sites, in units of the cell vectors:
Fe1 0.244 0.244 0.244
Fe2 0.756 0.756 0.756
Ni1 0.211 0.500 0.789
Ni2 0.500 0.789 0.211
Ni3 0.789 0.211 0.500
Ir1 0.000 0.716 0.284
Ir2 0.284 0.000 0.716
Ir3 0.716 0.284 0.000

=====

For Zn3Se, the GGA-PBE geometry in Alexandria gives the simulated X-ray powder pattern in this record (a wavelength of 1.5418 Å).
Kinematic intensities with the Lorentz-polarization factor, no thermal factor.

Peak list (10 most intense, 2θ from 10° to 90°, low angle first)
2θ/deg  I (rel.)
29.6  36
30.5  88
33.4  26
34.0  21
38.0  58
42.4  59
43.0  18
43.7  100
45.8  64
52.0  20

a b c (Å): 4.267 12.082 5.866
angles (deg): 90.00 90.03 90.00
Sites, in units of the cell vectors:
Zn1 0.000 0.024 0.000
Zn2 0.000 0.976 0.500
Zn3 0.022 0.325 0.598
Zn4 0.022 0.675 0.098
Zn5 0.496 0.035 0.735
Zn6 0.496 0.965 0.235
Zn7 0.500 0.476 0.500
Zn8 0.500 0.524 0.000
Zn9 0.522 0.175 0.098
Zn10 0.522 0.825 0.598
Zn11 0.996 0.465 0.235
Zn12 0.996 0.535 0.735
Se1 0.023 0.282 0.013
Se2 0.023 0.718 0.513
Se3 0.523 0.218 0.513
Se4 0.523 0.782 0.013

=====

Question: Number 2 is which compound?
Answer: K2NaIBr4